Record 1
# Ce2Dy3PuP6
Simulated powder diffraction line list, Cu Kα (λ = 1.5418 Å). Input: the GGA-PBE geometry in Alexandria.

Largest 10 diffraction maxima, in order of rising 2θ, 10 to 80 degrees two-theta:
2θ (°)  I/Imax
27.09  89.4
31.38  100.0
44.96  61.2
45.05  12.2
53.28  36.6
53.36  7.3
55.83  19.3
65.49  12.0
74.37  16.6
74.48  16.5

Structural model:
a b c (Å): 9.0121 9.0121 8.0494
angles (deg): 102.84 102.84 25.89
Element x y z (fractional)
Ce 0.1656 0.1656 0.3316
Ce 0.8344 0.8344 0.6684
Dy 0.1669 0.1669 0.8340
Dy 0.5000 0.5000 0.5000
Dy 0.8331 0.8331 0.1660
Pu 0.5000 0.5000 0.0000
P 0.0009 0.0009 0.7528
P 0.3336 0.3336 0.4153
P 0.3337 0.3337 0.9186
P 0.6663 0.6663 0.0814
P 0.6664 0.6664 0.5847
P 0.9991 0.9991 0.2472

Record 2
# LiLaGa2Pd4
Simulated powder diffraction line list, Cu Kα (λ = 1.5418 Å). Input: the GGA-PBE geometry in Alexandria.

Largest 10 diffraction maxima, in order of rising 2θ, 10 to 80 degrees two-theta:
2θ (°)  I/Imax
24.00  10.7
29.43  44.3
34.07  38.0
36.71  61.0
41.76  100.0
45.53  24.9
56.79  16.9
69.72  13.0
72.93  15.8
76.24  16.3

Structural model:
a b c (Å): 8.9805 8.9805 8.9805
angles (deg): 27.87 27.87 27.87
Element x y z (fractional)
Li 0.0000 0.0000 0.0000
La 0.5000 0.5000 0.5000
Ga 0.2656 0.2656 0.2656
Ga 0.7344 0.7344 0.7344
Pd 0.0956 0.0956 0.0956
Pd 0.3683 0.3683 0.3683
Pd 0.6317 0.6317 0.6317
Pd 0.9044 0.9044 0.9044

Record 3
# Mg4HIr3
Simulated powder diffraction line list, Cu Kα (λ = 1.5418 Å). Input: the GGA-PBE geometry in Alexandria.

Largest 10 diffraction maxima, in order of rising 2θ, 10 to 80 degrees two-theta:
2θ (°)  I/Imax
17.26  64.8
20.20  33.4
28.17  86.8
29.24  38.3
40.25  84.9
41.01  100.0
41.16  28.9
50.45  18.5
58.24  26.9
73.62  23.3

Structural model:
a b c (Å): 8.7778 6.3401 4.4086
angles (deg): 90.00 92.06 90.00
Element x y z (fractional)
Mg 0.0000 0.2279 0.0000
Mg 0.0000 0.7721 0.0000
Mg 0.2360 0.2538 0.5017
Mg 0.2360 0.7462 0.5017
Mg 0.5000 0.2721 0.0000
Mg 0.5000 0.7279 0.0000
Mg 0.7360 0.2462 0.5017
Mg 0.7360 0.7538 0.5017
H 0.3687 0.5000 0.2750
H 0.8687 0.0000 0.2750
Ir 0.2347 0.5000 0.0014
Ir 0.2692 0.0000 0.0015
Ir 0.4822 0.0000 0.5147
Ir 0.7347 0.0000 0.0014
Ir 0.7692 0.5000 0.0015
Ir 0.9822 0.5000 0.5147

Record 4
# Ca2AlB2Pt5
Simulated powder diffraction line list, Cu Kα (λ = 1.5418 Å). Input: the GGA-PBE geometry in Alexandria.

Largest 10 diffraction maxima, in order of rising 2θ, 10 to 80 degrees two-theta:
2θ (°)  I/Imax
27.35  100.0
29.28  41.9
33.49  44.3
34.48  47.9
38.48  75.0
40.49  79.1
41.88  40.0
43.77  55.3
47.85  44.9
75.55  36.1

Structural model:
a b c (Å): 9.6470 9.6470 3.2604
angles (deg): 90.00 90.00 90.00
Element x y z (fractional)
Ca 0.1771 0.3229 0.0000
Ca 0.3229 0.8229 0.0000
Ca 0.6771 0.1771 0.0000
Ca 0.8229 0.6771 0.0000
Al 0.0000 0.0000 0.0000
Al 0.5000 0.5000 0.0000
B 0.1225 0.6225 0.0000
B 0.3775 0.1225 0.0000
B 0.6225 0.8775 0.0000
B 0.8775 0.3775 0.0000
Pt 0.0000 0.5000 0.5000
Pt 0.0682 0.7813 0.5000
Pt 0.2187 0.0682 0.5000
Pt 0.2813 0.5682 0.5000
Pt 0.4318 0.2813 0.5000
Pt 0.5000 0.0000 0.5000
Pt 0.5682 0.7187 0.5000
Pt 0.7187 0.4318 0.5000
Pt 0.7813 0.9318 0.5000
Pt 0.9318 0.2187 0.5000

Record 5
# Hg2AsF5
Simulated powder diffraction line list, Cu Kα (λ = 1.5418 Å). Input: the GGA-PBE geometry in Alexandria.

Largest 10 diffraction maxima, in order of rising 2θ, 10 to 80 degrees two-theta:
2θ (°)  I/Imax
12.60  41.7
16.70  24.4
17.64  26.5
21.74  100.0
25.36  36.8
28.49  27.2
28.62  27.0
31.06  24.3
31.20  33.7
46.36  23.7

Structural model:
a b c (Å): 6.9811 10.0530 7.8262
angles (deg): 90.00 116.15 90.00
Element x y z (fractional)
Hg 0.0000 0.2494 0.0000
Hg 0.0000 0.7506 0.0000
Hg 0.5000 0.2506 0.0000
Hg 0.5000 0.7494 0.0000
As 0.4989 0.0000 0.4931
As 0.9989 0.5000 0.4931
F 0.1179 0.5000 0.7384
F 0.1553 0.5000 0.3736
F 0.2246 0.0000 0.3715
F 0.4990 0.1735 0.4927
F 0.4990 0.8265 0.4927
F 0.6179 0.0000 0.7384
F 0.6553 0.0000 0.3736
F 0.7246 0.5000 0.3715
F 0.9990 0.3265 0.4927
F 0.9990 0.6735 0.4927

Record 6
# Na2B3C
Simulated powder diffraction line list, Cu Kα (λ = 1.5418 Å). Input: the GGA-PBE geometry in Alexandria.

Largest 10 diffraction maxima, in order of rising 2θ, 10 to 80 degrees two-theta:
2θ (°)  I/Imax
34.45  12.9
36.23  16.5
40.41  24.1
40.50  24.0
41.84  38.1
42.02  100.0
56.51  9.7
62.87  16.6
76.48  9.7
78.49  8.0

Structural model:
a b c (Å): 11.7166 11.7166 10.0956
angles (deg): 106.64 106.64 13.82
Element x y z (fractional)
Na 0.0000 0.0000 0.0000
Na 0.0993 0.0993 0.7005
Na 0.1979 0.1979 0.3956
Na 0.2988 0.2988 0.0985
Na 0.4001 0.4001 0.8060
Na 0.4998 0.4998 0.4987
Na 0.5987 0.5987 0.1940
Na 0.6991 0.6991 0.9005
Na 0.7994 0.7994 0.6012
Na 0.8990 0.8990 0.2980
B 0.0725 0.0725 0.3937
B 0.1128 0.1128 0.9775
B 0.2191 0.2191 0.6915
B 0.2833 0.2833 0.8190
B 0.3196 0.3196 0.3891
B 0.3838 0.3838 0.5172
B 0.4824 0.4824 0.2130
B 0.5192 0.5192 0.7910
B 0.6134 0.6134 0.4772
B 0.6764 0.6764 0.6047
B 0.7073 0.7073 0.1655
B 0.7750 0.7750 0.2996
B 0.8235 0.8235 0.8992
B 0.8906 0.8906 0.0312
B 0.9276 0.9276 0.6065
C 0.0132 0.0132 0.2740
C 0.1758 0.1758 0.1030
C 0.4208 0.4208 0.0900
C 0.5811 0.5811 0.9153
C 0.9870 0.9870 0.7267